The following is a calculated powder XRD pattern of GaNi3Pt2. It was derived from a PBE-relaxed structure, using Cu Kα X-rays.

Principal peaks in the range 10 to 80 degrees two-theta, in order of rising 2θ:
| (hkl) | 2theta | I (rel.) |
| --- | --- | --- |
| 1 0 1 | 13.64 | 60 |
| 2 0 2 | 27.48 | 100 |
| 2 2 0 | 31.20 | 15 |
| 3 2 1 | 40.98 | 71 |
| 3 0 3 | 41.74 | 35 |
| 1 0 5 | 43.22 | 29 |
| 4 0 0 | 44.70 | 45 |
| 2 2 4 | 46.11 | 77 |
| 4 3 3 | 62.81 | 16 |
| 5 0 5 | 72.85 | 16 |

Crystal structure
Cell lengths 8.109, 8.109, 10.833 Å; angles 90.00, 90.00, 90.00 degrees
Space group I4_1/amd (No. 141, origin choice 2)
Symmetry-distinct sites (fractional):
Ga (0.000, 0.250, 0.072) (multiplicity 8)
Ni (0.000, 0.000, 0.500) (multiplicity 8)
Ni (0.228, 0.022, 0.875) (multiplicity 16)
Pt (0.000, 0.054, 0.270) (multiplicity 16)

---

The following is a calculated powder XRD pattern of GaNiPt4. It was derived from a PBE-relaxed structure, using Cu Kα X-rays.

Principal peaks in the range 10 to 80 degrees two-theta, in order of rising 2θ:
| (hkl) | 2theta | I (rel.) |
| --- | --- | --- |
| 0 2 0 | 15.72 | 8 |
| 0 4 0 | 31.75 | 9 |
| 1 1 1 | 33.03 | 17 |
| 1 3 1 | 40.22 | 100 |
| 2 0 0 | 45.73 | 18 |
| 0 0 2 | 46.14 | 17 |
| 0 6 0 | 48.46 | 14 |
| 2 0 2 | 66.98 | 11 |
| 2 6 0 | 68.82 | 10 |
| 0 6 2 | 69.14 | 9 |

Crystal structure
Cell lengths 3.968, 11.272, 3.935 Å; angles 90.00, 90.00, 90.00 degrees
Space group Cmmm (No. 65)
Symmetry-distinct sites (fractional):
Ga (0.000, 0.000, 0.000) (multiplicity 2)
Ni (0.000, 0.500, 0.500) (multiplicity 2)
Pt (0.000, 0.159, 0.500) (multiplicity 4)
Pt (0.000, 0.344, 0.000) (multiplicity 4)

---

The following is a calculated powder XRD pattern of GaNi4Pt7. It was derived from a PBE-relaxed structure, using Cu Kα X-rays.

Principal peaks in the range 10 to 80 degrees two-theta, in order of rising 2θ:
| (hkl) | 2theta | I (rel.) |
| --- | --- | --- |
| 1 1 -2 | 27.93 | 100 |
| 4 0 -1 | 34.74 | 49 |
| 4 0 -3 | 36.36 | 34 |
| 0 2 0 | 39.22 | 79 |
| 2 0 -4 | 40.58 | 28 |
| 3 1 1 | 42.59 | 97 |
| 5 1 -3 | 47.59 | 44 |
| 1 1 -4 | 47.78 | 43 |
| 4 2 -1 | 53.38 | 30 |
| 8 0 -2 | 73.37 | 30 |

Crystal structure
Cell lengths 10.740, 4.594, 8.982 Å; angles 90.00, 122.59, 90.00 degrees
Space group C2/m (No. 12)
Symmetry-distinct sites (fractional):
Ga (0.000, 0.000, 0.000) (multiplicity 2)
Ni (0.070, 0.500, 0.772) (multiplicity 4)
Ni (0.216, 0.500, 0.327) (multiplicity 4)
Pt (0.000, 0.500, 0.000) (multiplicity 2)
Pt (0.074, 0.000, 0.338) (multiplicity 4)
Pt (0.140, 0.500, 0.552) (multiplicity 4)
Pt (0.213, 0.000, 0.906) (multiplicity 4)

---

The following is a calculated powder XRD pattern of GaNi23Pt6. It was derived from a PBE-relaxed structure, using Cu Kα X-rays.

Principal peaks in the range 10 to 80 degrees two-theta, in order of rising 2θ:
| (hkl) | 2theta | I (rel.) |
| --- | --- | --- |
| 2 2 2 | 27.19 | 21 |
| 4 0 0 | 31.50 | 19 |
| 4 2 0 | 35.33 | 17 |
| 4 2 2 | 38.83 | 15 |
| 3 3 3 | 41.29 | 38 |
| 4 4 0 | 45.15 | 100 |
| 6 0 0 | 48.05 | 11 |
| 5 5 3 | 62.83 | 9 |
| 8 0 0 | 65.76 | 9 |
| 8 4 0 | 74.74 | 9 |

Crystal structure
Cell lengths 11.361, 11.361, 11.361 Å; angles 90.00, 90.00, 90.00 degrees
Space group Fm-3m (No. 225)
Symmetry-distinct sites (fractional):
Ga (0.000, 0.000, 0.000) (multiplicity 4)
Ni (0.000, 0.000, 0.500) (multiplicity 4)
Ni (0.000, 0.250, 0.250) (multiplicity 24)
Ni (0.122, 0.122, 0.378) (multiplicity 32)
Ni (0.167, 0.167, 0.167) (multiplicity 32)
Pt (0.000, 0.000, 0.226) (multiplicity 24)

---

The following is a calculated powder XRD pattern of Ga3Ni3Pt2. It was derived from a PBE-relaxed structure, using Cu Kα X-rays.

Principal peaks in the range 10 to 80 degrees two-theta, in order of rising 2θ:
| (hkl) | 2theta | I (rel.) |
| --- | --- | --- |
| 0 0 2 | 11.98 | 39 |
| 0 0 4 | 24.10 | 10 |
| 1 1 2 | 35.37 | 17 |
| 1 1 4 | 41.41 | 100 |
| 0 2 0 | 45.08 | 20 |
| 0 0 8 | 49.36 | 14 |
| 2 0 0 | 50.00 | 16 |
| 0 2 8 | 69.05 | 10 |
| 2 2 0 | 69.58 | 12 |
| 2 0 8 | 72.92 | 11 |

Crystal structure
Cell lengths 3.648, 4.022, 14.772 Å; angles 90.00, 90.00, 90.00 degrees
Space group Immm (No. 71)
Symmetry-distinct sites (fractional):
Ga (0.000, 0.000, 0.000) (multiplicity 2)
Ga (0.000, 0.500, 0.127) (multiplicity 4)
Ni (0.000, 0.000, 0.500) (multiplicity 2)
Ni (0.000, 0.500, 0.387) (multiplicity 4)
Pt (0.000, 0.000, 0.254) (multiplicity 4)

---

The following is a calculated powder XRD pattern of Ga3Ni12Pt. It was derived from a PBE-relaxed structure, using Cu Kα X-rays.

Principal peaks in the range 10 to 80 degrees two-theta, in order of rising 2θ:
| (hkl) | 2theta | I (rel.) |
| --- | --- | --- |
| 0 0 2 | 12.41 | 4 |
| 1 0 0 | 24.62 | 4 |
| 1 0 1 | 25.41 | 4 |
| 1 0 2 | 27.66 | 3 |
| 1 0 4 | 35.36 | 3 |
| 1 1 4 | 43.56 | 100 |
| 2 0 0 | 50.48 | 32 |
| 0 0 8 | 51.24 | 15 |
| 2 2 0 | 74.18 | 9 |
| 2 0 8 | 74.79 | 18 |

Crystal structure
Cell lengths 3.616, 3.616, 14.262 Å; angles 90.00, 90.00, 90.00 degrees
Space group P4/mmm (No. 123)
Symmetry-distinct sites (fractional):
Ga (0.000, 0.000, 0.000) (multiplicity 1)
Ga (0.000, 0.000, 0.246) (multiplicity 2)
Ni (0.000, 0.500, 0.124) (multiplicity 4)
Ni (0.000, 0.500, 0.371) (multiplicity 4)
Ni (0.500, 0.500, 0.000) (multiplicity 1)
Ni (0.500, 0.500, 0.248) (multiplicity 2)
Ni (0.500, 0.500, 0.500) (multiplicity 1)
Pt (0.000, 0.000, 0.500) (multiplicity 1)

---

The following is a calculated powder XRD pattern of Sr2Ga4NiPt3. It was derived from a PBE-relaxed structure, using Cu Kα X-rays.

Principal peaks in the range 10 to 80 degrees two-theta, in order of rising 2θ:
| (hkl) | 2theta | I (rel.) |
| --- | --- | --- |
| 1 0 1 | 21.95 | 46 |
| 1 0 2 | 26.67 | 39 |
| 1 0 3 | 33.16 | 85 |
| 1 1 2 | 33.65 | 100 |
| 2 0 0 | 40.96 | 100 |
| 1 1 4 | 45.82 | 67 |
| 1 0 5 | 48.96 | 33 |
| 2 1 3 | 53.68 | 45 |
| 2 2 0 | 59.32 | 33 |
| 2 1 5 | 65.69 | 28 |

Crystal structure
Cell lengths 4.407, 4.407, 10.261 Å; angles 90.00, 90.00, 90.00 degrees
Space group P-4m2 (No. 115)
Symmetry-distinct sites (fractional):
Sr (0.000, 0.500, 0.243) (multiplicity 2)
Ga (0.000, 0.000, 0.500) (multiplicity 1)
Ga (0.000, 0.500, 0.882) (multiplicity 2)
Ga (0.500, 0.500, 0.500) (multiplicity 1)
Ni (0.500, 0.500, 0.000) (multiplicity 1)
Pt (0.000, 0.000, 0.000) (multiplicity 1)
Pt (0.000, 0.500, 0.632) (multiplicity 2)

---

The following is a calculated powder XRD pattern of TbGa2Ni2Pt. It was derived from a PBE-relaxed structure, using Cu Kα X-rays.

Principal peaks in the range 10 to 80 degrees two-theta, in order of rising 2θ:
| (hkl) | 2theta | I (rel.) |
| --- | --- | --- |
| 0 0 1 | 16.60 | 27 |
| 1 0 0 | 18.93 | 62 |
| 1 1 0 | 26.90 | 64 |
| 0 0 2 | 33.55 | 22 |
| 2 0 0 | 38.41 | 88 |
| 1 0 2 | 38.81 | 100 |
| 2 0 2 | 51.91 | 26 |
| 2 2 0 | 55.45 | 30 |
| 2 1 2 | 55.75 | 69 |
| 3 0 2 | 69.73 | 17 |

Crystal structure
Cell lengths 4.687, 4.687, 5.342 Å; angles 90.00, 90.00, 90.00 degrees
Space group P4/mmm (No. 123)
Symmetry-distinct sites (fractional):
Tb (0.000, 0.000, 0.000) (multiplicity 1)
Ga (0.000, 0.500, 0.500) (multiplicity 2)
Ni (0.500, 0.500, 0.239) (multiplicity 2)
Pt (0.000, 0.000, 0.500) (multiplicity 1)